Entry 1:
K3Se2S2: simulated XRD peak list (Cu Ka), based on a structure optimized by DFT (GGA-PBE).

Top 8 peaks for 2θ from 10° to 80°, sorted by position:
2θ = 19.3°, I = 32; 2θ = 20.4°, I = 21; 2θ = 28.9°, I = 100; 2θ = 29.3°, I = 21; 2θ = 37.6°, I = 29; 2θ = 38.0°, I = 25; 2θ = 38.8°, I = 26; 2θ = 40.4°, I = 21

```
data_K3Se2S2
_cell_length_a 4.4648
_cell_length_b 4.7374
_cell_length_c 19.8636
_cell_angle_alpha 90.00
_cell_angle_beta 90.00
_cell_angle_gamma 90.00
_space_group_name_H-M_alt 'I m m m'
_space_group_IT_number 71
_space_group_name_Hall '-I 2 2'
loop_
_atom_site_label
_atom_site_type_symbol
_atom_site_fract_x
_atom_site_fract_y
_atom_site_fract_z
_atom_site_occupancy
K1 K 0.0000 0.0000 0.0000 1
K2 K 0.0000 0.5000 0.3167 1
Se1 Se 0.0000 0.0000 0.4403 1
S1 S 0.0000 0.5000 0.1516 1
```

=====

Entry 2:
K2TlSeS: simulated XRD peak list (Cu Ka), based on a structure optimized by DFT (GGA-PBE).

Top 8 peaks for 2θ from 10° to 80°, sorted by position:
2θ = 10.9°, I = 100; 2θ = 15.3°, I = 29; 2θ = 20.3°, I = 24; 2θ = 25.6°, I = 25; 2θ = 27.8°, I = 32; 2θ = 30.0°, I = 41; 2θ = 34.0°, I = 29; 2θ = 37.4°, I = 28

```
data_K2TlSeS
_cell_length_a 7.8792
_cell_length_b 5.2721
_cell_length_c 8.1172
_cell_angle_alpha 90.00
_cell_angle_beta 92.68
_cell_angle_gamma 90.00
_space_group_name_H-M_alt 'P 1 21/m 1'
_space_group_IT_number 11
loop_
_space_group_symop_operation_xyz
'x,y,z'
'-x,-y,-z'
'-x,y+1/2,-z'
'x,-y+1/2,z'
loop_
_atom_site_label
_atom_site_type_symbol
_atom_site_fract_x
_atom_site_fract_y
_atom_site_fract_z
_atom_site_occupancy
K1 K 0.0047 0.2500 0.2059 1
K2 K 0.4826 0.2500 0.1634 1
Tl1 Tl 0.3121 0.7500 0.4334 1
Se1 Se 0.2851 0.2500 0.5578 1
S1 S 0.2455 0.7500 0.1150 1
```

=====

Entry 3:
KZrSe2S: simulated XRD peak list (Cu Ka), based on a structure optimized by DFT (GGA-PBE).

Top 8 peaks for 2θ from 10° to 80°, sorted by position:
2θ = 16.7°, I = 42; 2θ = 17.6°, I = 74; 2θ = 24.3°, I = 45; 2θ = 29.6°, I = 53; 2θ = 33.8°, I = 100; 2θ = 35.5°, I = 43; 2θ = 38.3°, I = 43; 2θ = 49.8°, I = 63

```
data_KZrSe2S
_cell_length_a 5.3103
_cell_length_b 5.3103
_cell_length_c 5.0510
_cell_angle_alpha 90.00
_cell_angle_beta 90.00
_cell_angle_gamma 90.00
_space_group_name_H-M_alt 'P 4/m m m'
_space_group_IT_number 123
_space_group_name_Hall '-P 4 2'
loop_
_atom_site_label
_atom_site_type_symbol
_atom_site_fract_x
_atom_site_fract_y
_atom_site_fract_z
_atom_site_occupancy
K1 K 0.0000 0.0000 0.0000 1
Zr1 Zr 0.5000 0.5000 0.5000 1
Se1 Se 0.0000 0.5000 0.5000 1
S1 S 0.5000 0.5000 0.0000 1
```

=====

Entry 4:
KTl2SiS4: simulated XRD peak list (Cu Ka), based on a structure optimized by DFT (GGA-PBE).

Top 8 peaks for 2θ from 10° to 80°, sorted by position:
2θ = 13.8°, I = 50; 2θ = 25.0°, I = 38; 2θ = 25.5°, I = 68; 2θ = 27.8°, I = 50; 2θ = 29.5°, I = 49; 2θ = 31.6°, I = 100; 2θ = 34.1°, I = 31; 2θ = 43.8°, I = 62

```
data_KTl2SiS4
_cell_length_a 7.5627
_cell_length_b 8.5421
_cell_length_c 12.1136
_cell_angle_alpha 90.00
_cell_angle_beta 90.00
_cell_angle_gamma 90.00
_space_group_name_H-M_alt 'I m m a'
_space_group_IT_number 74
_space_group_name_Hall '-I 2b 2'
loop_
_atom_site_label
_atom_site_type_symbol
_atom_site_fract_x
_atom_site_fract_y
_atom_site_fract_z
_atom_site_occupancy
K1 K 0.0000 0.0000 0.0000 1
Tl1 Tl 0.0000 0.0000 0.5000 1
Tl2 Tl 0.2500 0.2500 0.2500 1
Si1 Si 0.2500 0.2500 0.7500 1
S1 S 0.0000 0.0567 0.7499 1
S2 S 0.2449 0.2500 0.5659 1
```